[1]
Diffraction record for Cd2SiP4O14. The powder XRD pattern is computed, not measured: it uses a DFT-relaxed cell (GGA-PBE, Alexandria) and Cu Ka.

Structural model:
```
Cd2SiP4O14
1.0
9.1312 -2.8447 0.0000
9.1312 2.8447 0.0000
-3.5488 0.0000 12.5079
Cd Si P O
4 2 8 28
direct
0.1657 0.2892 0.1319 Cd
0.2892 0.1657 0.6319 Cd
0.7108 0.8343 0.3681 Cd
0.8343 0.7108 0.8681 Cd
0.4291 0.5709 0.7500 Si
0.5709 0.4291 0.2500 Si
0.1608 0.5900 0.5607 P
0.3164 0.4373 0.3463 P
0.4100 0.8392 0.9393 P
0.4373 0.3164 0.8463 P
0.5627 0.6836 0.1537 P
0.5900 0.1608 0.0607 P
0.6836 0.5627 0.6537 P
0.8392 0.4100 0.4393 P
0.0881 0.5324 0.2940 O
0.1116 0.2143 0.4648 O
0.1609 0.5572 0.8396 O
0.2046 0.6961 0.6572 O
0.2143 0.1116 0.9648 O
0.2703 0.5597 0.4664 O
0.3039 0.7954 0.8428 O
0.3275 0.3348 0.5804 O
0.3348 0.3275 0.0804 O
0.3393 0.5530 0.2970 O
0.4403 0.7297 0.0336 O
0.4428 0.8391 0.6604 O
0.4470 0.6607 0.2030 O
0.4676 0.9119 0.2060 O
0.5324 0.0881 0.7940 O
0.5530 0.3393 0.7970 O
0.5572 0.1609 0.3396 O
0.5597 0.2703 0.9664 O
0.6607 0.4470 0.7030 O
0.6652 0.6725 0.9196 O
0.6725 0.6652 0.4196 O
0.6961 0.2046 0.1572 O
0.7297 0.4403 0.5336 O
0.7857 0.8884 0.0352 O
0.7954 0.3039 0.3428 O
0.8391 0.4428 0.1604 O
0.8884 0.7857 0.5352 O
0.9119 0.4676 0.7060 O
```

Principal peaks in the range 15° ≤ 2θ ≤ 90°, most intense first:
20.8°, rel. 100.0
23.7°, rel. 83.3
28.3°, rel. 71.5
29.9°, rel. 65.1
32.9°, rel. 59.8
21.3°, rel. 50.1
16.4°, rel. 44.9
21.6°, rel. 35.4
24.2°, rel. 32.2
33.3°, rel. 26.1


[2]
Diffraction record for MgPa2Si2Ir5. The powder XRD pattern is computed, not measured: it uses a DFT-relaxed cell (GGA-PBE, Alexandria) and Cu Ka.

Structural model:
```
MgPa2Si2Ir5
1.0
9.6967 0.0000 0.0000
0.0000 9.6967 0.0000
0.0000 0.0000 3.6526
Mg Pa Si Ir
2 4 4 10
direct
0.0000 0.0000 0.0000 Mg
0.5000 0.5000 0.0000 Mg
0.1769 0.3231 0.0000 Pa
0.3231 0.8231 0.0000 Pa
0.6769 0.1769 0.0000 Pa
0.8231 0.6769 0.0000 Pa
0.1228 0.6228 0.0000 Si
0.3772 0.1228 0.0000 Si
0.6228 0.8772 0.0000 Si
0.8772 0.3772 0.0000 Si
0.0000 0.5000 0.5000 Ir
0.0662 0.7845 0.5000 Ir
0.2155 0.0662 0.5000 Ir
0.2845 0.5662 0.5000 Ir
0.4338 0.2845 0.5000 Ir
0.5000 0.0000 0.5000 Ir
0.5662 0.7155 0.5000 Ir
0.7155 0.4338 0.5000 Ir
0.7845 0.9338 0.5000 Ir
0.9338 0.2155 0.5000 Ir
```

Principal peaks in the range 15° ≤ 2θ ≤ 90°, most intense first:
38.3°, rel. 100.0
32.0°, rel. 49.9
41.7°, rel. 35.8
64.6°, rel. 22.1
39.4°, rel. 17.7
49.9°, rel. 16.8
35.9°, rel. 16.7
30.6°, rel. 14.0
66.9°, rel. 13.4
44.9°, rel. 12.5


[3]
Diffraction record for Hf4Ti. The powder XRD pattern is computed, not measured: it uses a DFT-relaxed cell (GGA-PBE, Alexandria) and Cu Ka.

Structural model:
```
Hf4Ti
1.0
-2.3976 3.0496 7.2820
2.3976 -3.0496 7.2820
2.3976 3.0496 -7.2820
Hf Ti
8 2
direct
0.0000 0.0000 0.0000 Hf
0.1484 0.3984 0.7500 Hf
0.2028 0.1998 0.0031 Hf
0.3033 0.8002 0.5031 Hf
0.5000 0.0000 0.5000 Hf
0.6967 0.1998 0.4969 Hf
0.7972 0.8002 0.9969 Hf
0.8516 0.6016 0.2500 Hf
0.3564 0.6064 0.7500 Ti
0.6436 0.3936 0.2500 Ti
```

Principal peaks in the range 15° ≤ 2θ ≤ 90°, most intense first:
36.1°, rel. 100.0
35.4°, rel. 80.3
37.5°, rel. 45.1
38.5°, rel. 33.0
72.7°, rel. 26.0
54.8°, rel. 23.7
66.8°, rel. 16.7
47.9°, rel. 16.5
47.1°, rel. 15.9
62.4°, rel. 15.0


[4]
Diffraction record for DyGa3Ni. The powder XRD pattern is computed, not measured: it uses a DFT-relaxed cell (GGA-PBE, Alexandria) and Cu Ka.

Structural model:
```
DyGa3Ni
1.0
4.0861 0.0000 0.0000
0.0000 4.0861 0.0000
0.0000 0.0000 5.3187
Dy Ga Ni
1 3 1
direct
0.0000 0.0000 0.0000 Dy
0.0000 0.5000 0.4726 Ga
0.5000 0.0000 0.4726 Ga
0.5000 0.5000 0.7947 Ga
0.5000 0.5000 0.2318 Ni
```

Principal peaks in the range 15° ≤ 2θ ≤ 90°, most intense first:
35.4°, rel. 100.0
40.5°, rel. 50.6
44.3°, rel. 46.9
27.5°, rel. 30.0
61.6°, rel. 28.6
75.8°, rel. 21.1
64.5°, rel. 14.9
31.0°, rel. 14.7
56.6°, rel. 12.8
74.6°, rel. 11.2


[5]
Diffraction record for Ho7Er4Zr. The powder XRD pattern is computed, not measured: it uses a DFT-relaxed cell (GGA-PBE, Alexandria) and Cu Ka.

Structural model:
```
Ho7Er4Zr
1.0
5.8701 0.0000 0.0000
0.0124 6.7899 0.0000
0.5244 3.3744 9.2189
Ho Er Zr
7 4 1
direct
0.0000 0.0000 0.0000 Ho
0.2182 0.7140 0.5758 Ho
0.2595 0.5353 0.9283 Ho
0.2610 0.1894 0.6254 Ho
0.7390 0.8106 0.3746 Ho
0.7405 0.4647 0.0717 Ho
0.7818 0.2860 0.4242 Ho
0.2726 0.6007 0.2706 Er
0.2741 0.1287 0.2702 Er
0.7259 0.8713 0.7298 Er
0.7274 0.3993 0.7294 Er
0.5000 0.0000 0.0000 Zr
```

Principal peaks in the range 15° ≤ 2θ ≤ 90°, most intense first:
32.2°, rel. 100.0
32.8°, rel. 81.2
31.7°, rel. 72.6
30.5°, rel. 52.6
33.7°, rel. 49.7
32.3°, rel. 44.5
35.7°, rel. 28.4
33.9°, rel. 23.8
54.0°, rel. 21.3
30.9°, rel. 20.7


[6]
Diffraction record for PmSn3Rh2. The powder XRD pattern is computed, not measured: it uses a DFT-relaxed cell (GGA-PBE, Alexandria) and Cu Ka.

Structural model:
```
PmSn3Rh2
1.0
8.8021 -2.1761 0.0000
8.8021 2.1761 0.0000
-2.5168 0.0000 10.3087
Pm Sn Rh
3 9 6
direct
0.0000 0.0000 0.0000 Pm
0.1452 0.1452 0.6865 Pm
0.8548 0.8548 0.3135 Pm
0.0518 0.0518 0.3470 Sn
0.2291 0.2291 0.3698 Sn
0.3507 0.3507 0.0831 Sn
0.3642 0.3642 0.8203 Sn
0.5000 0.5000 0.5000 Sn
0.6358 0.6358 0.1797 Sn
0.6493 0.6493 0.9169 Sn
0.7709 0.7709 0.6302 Sn
0.9482 0.9482 0.6530 Sn
0.2021 0.2021 0.0869 Rh
0.3564 0.3564 0.5608 Rh
0.4918 0.4918 0.2303 Rh
0.5082 0.5082 0.7697 Rh
0.6436 0.6436 0.4392 Rh
0.7979 0.7979 0.9131 Rh
```

Principal peaks in the range 15° ≤ 2θ ≤ 90°, most intense first:
32.6°, rel. 100.0
32.8°, rel. 60.9
41.5°, rel. 56.8
41.3°, rel. 31.1
40.6°, rel. 29.4
38.8°, rel. 27.1
42.4°, rel. 26.1
60.0°, rel. 20.9
28.4°, rel. 19.4
31.4°, rel. 19.3


[7]
Diffraction record for CaAl4Te7. The powder XRD pattern is computed, not measured: it uses a DFT-relaxed cell (GGA-PBE, Alexandria) and Cu Ka.

Structural model:
```
CaAl4Te7
1.0
17.2285 0.0000 0.0000
0.0000 7.1682 0.0000
0.0000 0.0000 7.0421
Ca Al Te
2 8 14
direct
0.0000 0.0593 0.0000 Ca
0.5000 0.9407 0.5000 Ca
0.1212 0.6467 0.8184 Al
0.2492 0.8450 0.3070 Al
0.2508 0.1550 0.8070 Al
0.3788 0.3533 0.3184 Al
0.6212 0.3533 0.3184 Al
0.7492 0.1550 0.8070 Al
0.7508 0.8450 0.3070 Al
0.8788 0.6467 0.8184 Al
0.0000 0.8015 0.6510 Te
0.1128 0.7289 0.1829 Te
0.1157 0.2940 0.7129 Te
0.2472 0.2007 0.1901 Te
0.2528 0.7993 0.6901 Te
0.3843 0.7060 0.2129 Te
0.3872 0.2711 0.6829 Te
0.5000 0.1985 0.1510 Te
0.6128 0.2711 0.6829 Te
0.6157 0.7060 0.2129 Te
0.7472 0.7993 0.6901 Te
0.7528 0.2007 0.1901 Te
0.8843 0.2940 0.7129 Te
0.8872 0.7289 0.1829 Te
```

Principal peaks in the range 15° ≤ 2θ ≤ 90°, most intense first:
27.3°, rel. 100.0
25.3°, rel. 34.4
24.8°, rel. 30.5
45.8°, rel. 27.4
35.7°, rel. 23.5
45.3°, rel. 15.5
42.0°, rel. 11.6
24.1°, rel. 11.6
56.3°, rel. 10.4
27.9°, rel. 10.4